No. 1
# TaNi3
Computed powder X-ray diffraction pattern, Cu Ka. Input: a DFT-relaxed cell (GGA-PBE, the Materials Project).

```
4
Lattice="2.6953 0.0000 0.0000 -1.3476 2.3342 0.0000 0.0000 0.0000 8.2094" Properties=species:S:1:pos:R:3 pbc="T T T"
Ta 0.0000 0.0000 0.0000
Ni 0.0000 0.0000 4.1047
Ni 1.3477 0.7781 2.1493
Ni 1.3477 0.7781 6.0601
```

Peak list (12 most intense, 10° ≤ 2θ ≤ 90°, low angle first)
2θ/deg	I/Imax
10.8	49
21.7	13
32.7	7
38.6	32
40.2	18
44.1	22
44.7	100
60.0	17
69.8	16
81.6	16
86.4	18
86.7	14

No. 2
# K2LiNdCl6
Computed powder X-ray diffraction pattern, Cu Ka. Input: a DFT-relaxed cell (GGA-PBE, the Materials Project).

```
10
Lattice="0.0000 5.2878 5.2878 5.2878 0.0000 5.2878 5.2878 5.2878 0.0000" Properties=species:S:1:pos:R:3 pbc="T T T"
K 2.6439 2.6439 2.6439
K 7.9316 7.9316 7.9316
Li 0.0000 0.0000 0.0000
Nd 5.2878 5.2878 5.2878
Cl 5.2878 5.2878 2.5693
Cl 5.2878 2.5693 5.2878
Cl 8.0062 5.2878 5.2878
Cl 2.5693 5.2878 5.2878
Cl 5.2878 8.0062 5.2878
Cl 5.2878 5.2878 8.0062
```

Peak list (12 most intense, 10° ≤ 2θ ≤ 90°, low angle first)
2θ/deg	I/Imax
14.5	86
16.8	58
23.8	63
28.0	68
29.3	24
33.9	100
37.1	38
38.1	28
41.8	29
44.5	22
48.7	65
81.4	27

No. 3
# Dy2Mn3Si5
Computed powder X-ray diffraction pattern, Cu Ka. Input: a DFT-relaxed cell (GGA-PBE, the Materials Project).

```
40
Lattice="10.5682 0.0000 0.0000 0.0000 10.5682 0.0000 0.0000 0.0000 5.4283" Properties=species:S:1:pos:R:3 pbc="T T T"
Dy 0.7852 2.5041 0.0000
Dy 2.5041 9.7829 0.0000
Dy 2.7799 4.4988 2.7142
Dy 4.4988 7.7882 2.7142
Dy 6.0693 2.7799 2.7142
Dy 7.7882 6.0693 2.7142
Dy 8.0640 0.7852 0.0000
Dy 9.7829 8.0640 0.0000
Mn 0.0000 5.2841 1.3571
Mn 0.0000 5.2841 4.0712
Mn 1.2794 9.0409 2.7142
Mn 1.5273 1.2794 2.7142
Mn 3.7568 6.5635 0.0000
Mn 4.0047 3.7568 0.0000
Mn 5.2841 0.0000 1.3571
Mn 5.2841 0.0000 4.0712
Mn 6.5635 6.8113 0.0000
Mn 6.8113 4.0047 0.0000
Mn 9.0409 9.2888 2.7142
Mn 9.2888 1.5273 2.7142
Si 0.0000 0.0000 1.4013
Si 0.0000 0.0000 4.0270
Si 0.2476 3.3307 2.7142
Si 1.8551 7.1392 1.3571
Si 1.8551 7.1392 4.0712
Si 1.9534 5.0365 0.0000
Si 3.3307 10.3206 2.7142
Si 3.4289 1.8551 1.3571
Si 3.4289 1.8551 4.0712
Si 5.0365 8.6148 0.0000
Si 5.2841 5.2841 1.3129
Si 5.2841 5.2841 4.1155
Si 5.5317 1.9534 0.0000
Si 7.1392 8.7130 1.3571
Si 7.1392 8.7130 4.0712
Si 7.2374 0.2476 2.7142
Si 8.6148 5.5317 0.0000
Si 8.7130 3.4289 1.3571
Si 8.7130 3.4289 4.0712
Si 10.3206 7.2374 2.7142
```

Peak list (12 most intense, 10° ≤ 2θ ≤ 90°, low angle first)
2θ/deg	I/Imax
18.8	19
25.0	30
31.4	100
33.0	25
35.0	31
38.1	28
38.2	28
38.9	47
41.1	49
53.3	22
58.0	21
62.9	28

No. 4
# LiCuF4
Computed powder X-ray diffraction pattern, Cu Ka. Input: a DFT-relaxed cell (GGA-PBE, the Materials Project).

```
36
Lattice="6.8021 0.0000 0.0000 -1.5623 7.7973 0.0000 -2.6949 -2.1149 9.2799" Properties=species:S:1:pos:R:3 pbc="T T T"
Li -1.3513 0.6283 3.6558
Li 3.8963 5.0541 5.6240
Li 0.4817 6.8741 1.4555
Li 0.4947 2.4883 7.0678
Li 2.0502 3.1941 2.2121
Li 2.0632 -1.1917 7.8243
Cu -1.3947 4.1190 2.3896
Cu -1.1277 -0.3959 8.5034
Cu 0.4539 5.2160 4.6171
Cu 2.0911 0.4665 4.6627
Cu 3.6727 6.0783 0.7765
Cu 3.9396 1.5634 6.8903
F -2.5643 3.1924 6.3072
F -1.1253 5.6578 1.4119
F -1.0286 -1.5743 7.0602
F -1.4442 5.2415 4.3697
F 1.2774 0.4026 0.4753
F -1.1000 1.2931 7.2456
F 0.2352 0.6155 4.7059
F 1.2706 3.0044 0.5527
F 0.3698 4.0840 2.9270
F 0.2892 3.8434 5.8400
F 0.5658 6.8329 3.3717
F 1.8311 5.9561 0.6121
F 0.7138 -0.2737 8.6677
F 1.9792 -1.1505 5.9081
F 2.2558 1.8390 3.4398
F 2.1751 1.5984 6.3529
F 1.2743 2.6781 8.7272
F 2.3097 5.0669 4.5740
F 3.6450 4.3893 2.0343
F 1.2675 5.2798 8.8046
F 3.9892 0.4409 4.9101
F 3.5736 7.2567 2.2197
F 3.6702 0.0246 7.8680
F 5.1093 2.4900 2.9727
```

Peak list (12 most intense, 10° ≤ 2θ ≤ 90°, low angle first)
2θ/deg	I/Imax
13.3	58
16.6	39
17.5	76
19.3	57
19.4	34
19.9	100
20.4	28
24.6	65
26.8	68
40.7	37
41.4	46
41.5	33

No. 5
# Cr5S8
Computed powder X-ray diffraction pattern, Cu Ka. Input: a DFT-relaxed cell (GGA-PBE, the Materials Project).

```
13
Lattice="5.5786 -3.4420 0.0000 5.5786 3.4420 0.0000 -5.4344 0.0000 5.9547" Properties=species:S:1:pos:R:3 pbc="T T T"
Cr 0.0000 0.0000 0.0000
Cr 2.8614 1.5702 2.9774
Cr 2.9957 0.0000 0.0611
Cr 2.7270 0.0000 5.8936
Cr 2.8614 -1.5702 2.9774
S -1.5429 0.0000 1.9049
S -1.3247 1.8018 4.9466
S 7.0475 1.8018 1.0081
S 1.4569 0.0000 3.9685
S 4.2659 0.0000 1.9862
S -1.3247 -1.8018 4.9466
S 7.0475 -1.8018 1.0081
S 7.2656 0.0000 4.0498
```

Peak list (12 most intense, 10° ≤ 2θ ≤ 90°, low angle first)
2θ/deg	I/Imax
15.9	81
17.0	18
30.0	28
33.8	48
34.3	100
43.9	29
44.2	37
44.8	52
45.1	21
53.3	70
58.2	18
71.4	11

No. 6
# MgSn3
Computed powder X-ray diffraction pattern, Cu Ka. Input: a DFT-relaxed cell (GGA-PBE, the Materials Project).

```
4
Lattice="3.3387 0.0000 0.0000 0.0000 5.6023 0.0000 0.0000 0.0000 5.5861" Properties=species:S:1:pos:R:3 pbc="T T T"
Mg 0.0000 0.0000 0.0000
Sn 0.0000 2.8012 1.8426
Sn 1.6693 0.0000 2.8287
Sn 1.6693 2.8012 4.7026
```

Peak list (12 most intense, 10° ≤ 2θ ≤ 90°, low angle first)
2θ/deg	I/Imax
15.8	24
22.5	14
31.2	33
32.0	54
35.2	100
35.9	52
45.3	23
56.6	17
59.0	23
65.1	15
66.5	22
67.5	17

No. 7
# HfC
Computed powder X-ray diffraction pattern, Cu Ka. Input: a DFT-relaxed cell (GGA-PBE, the Materials Project).

```
2
Lattice="0.0000 2.5213 2.5213 2.5213 0.0000 2.5213 2.5213 2.5213 0.0000" Properties=species:S:1:pos:R:3 pbc="T T T"
Hf 0.0000 0.0000 0.0000
C 3.7820 3.7820 3.7820
```

Peak list (8 most intense, 10° ≤ 2θ ≤ 90°, low angle first)
2θ/deg	I/Imax
30.7	100
35.6	45
51.2	40
60.9	43
64.0	11
75.4	6
83.6	18
86.3	16

No. 8
# Na2MgTaP3O12
Computed powder X-ray diffraction pattern, Cu Ka. Input: a DFT-relaxed cell (GGA-PBE, the Materials Project).

```
38
Lattice="7.6768 -4.4002 0.0000 7.6768 4.4002 0.0000 -5.0855 0.0000 7.4381" Properties=species:S:1:pos:R:3 pbc="T T T"
Na 2.6304 2.1799 1.9727
Na 5.1341 3.4225 3.7191
Na 0.0877 -2.1799 5.6918
Na 7.6768 -3.4225 0.0000
Mg 2.6248 2.1719 5.0739
Mg 5.1676 -2.1719 1.3548
Ta 7.8072 2.1573 2.2355
Ta 5.2645 -2.1573 5.9545
P -0.1918 0.9491 3.5580
P -2.7346 -0.9491 7.2771
P 5.1982 0.3630 3.5790
P 2.6555 -0.3630 7.2981
P 10.6795 0.9238 3.6274
P 8.1367 -0.9238 7.3464
O -1.1757 1.2065 4.8087
O -2.7064 0.6545 7.2291
O 1.1871 1.4936 3.7766
O 6.1980 2.8239 1.2219
O 4.2837 2.9516 6.0177
O -0.1637 -0.6545 3.5101
O 1.3671 -1.2065 1.0896
O 4.0645 1.3474 3.7732
O 2.5097 0.4977 6.0931
O 3.7298 -1.4936 0.0575
O 6.5412 1.2376 3.5113
O 5.0525 -0.4977 2.3740
O 7.9707 0.5504 1.1558
O 9.2668 1.6341 3.4880
O 6.6073 -1.3474 0.0542
O 5.4279 -0.5504 4.8749
O 3.9984 -1.2376 7.2304
O 11.5644 1.1844 2.4503
O 3.6553 -2.8239 4.9410
O 13.0236 0.5654 0.0993
O 6.8265 -2.9516 2.2986
O 10.4809 -0.5654 3.8184
O 6.7241 -1.6341 7.2071
O 9.0217 -1.1844 6.1694
```

Peak list (12 most intense, 10° ≤ 2θ ≤ 90°, low angle first)
2θ/deg	I/Imax
14.0	100
19.7	63
20.1	36
20.2	21
23.4	22
24.6	25
28.4	25
31.4	27
31.5	47
32.0	17
35.1	16
35.3	20

No. 9
# BaAl2Ga2
Computed powder X-ray diffraction pattern, Cu Ka. Input: a DFT-relaxed cell (GGA-PBE, the Materials Project).

```
5
Lattice="-2.2656 2.2656 5.6421 2.2656 -2.2656 5.6421 2.2656 2.2656 -5.6421" Properties=species:S:1:pos:R:3 pbc="T T T"
Ba 0.0000 0.0000 0.0000
Al 2.2656 0.0000 2.8210
Al 0.0000 2.2656 2.8210
Ga 0.0000 0.0000 4.2672
Ga 0.0000 0.0000 7.0169
```

Peak list (12 most intense, 10° ≤ 2θ ≤ 90°, low angle first)
2θ/deg	I/Imax
15.7	15
27.8	62
30.9	100
32.1	63
39.8	53
44.9	40
51.2	47
57.5	17
61.5	31
67.4	15
80.2	13
80.6	13